# FeSb3P6O24
Calculated powder diffraction line list, Cu Ka. Input: a crystal structure in Alexandria, relaxed with PBE+U.
Kinematic intensities with the Lorentz-polarization factor, no thermal factor.

Crystal structure
```
data_FeSb3P6O24
_cell_length_a 8.4098
_cell_length_b 8.4098
_cell_length_c 22.5893
_cell_angle_alpha 90.00
_cell_angle_beta 90.00
_cell_angle_gamma 120.00
_symmetry_space_group_name_H-M 'R 3'
_symmetry_Int_Tables_number 146
_symmetry_space_group_name_Hall 'R 3'
loop_
_atom_site_label
_atom_site_fract_x
_atom_site_fract_y
_atom_site_fract_z
_atom_site_occupancy
Fe1 0.0000 0.0000 0.0000 1
Sb1 0.0000 0.0000 0.2087 1
Sb2 0.0000 0.0000 0.5075 1
Sb3 0.0000 0.0000 0.7148 1
P1 0.9995 0.7082 0.6078 1
P2 0.0484 0.3783 0.7742 1
O1 0.0074 0.1993 0.0507 1
O2 0.0323 0.8265 0.9483 1
O3 0.0786 0.8571 0.5577 1
O4 0.0896 0.8679 0.2593 1
O5 0.1501 0.6913 0.3329 1
O6 0.1662 0.4701 0.4368 1
O7 0.1895 0.4407 0.8267 1
O8 0.1920 0.4477 0.1231 1
```

Most intense lines, 2θ from 10° to 90°, sorted by position:
two_theta  I/Imax  index
14.5  60  0 1 2
19.9  100  1 0 4
21.1  65  1 1 0
24.2  56  1 1 3
29.2  60  0 2 4
31.9  64  2 -1 6
36.3  27  3 -1 4
37.0  25  3 0 0
49.7  19  4 -2 6
52.4  27  3 -1 10
58.0  17  4 1 0
61.6  17  1 3 10



# V2Fe3SbP6O24
Calculated powder diffraction line list, Cu Ka. Input: a crystal structure in Alexandria, relaxed with PBE+U.
Kinematic intensities with the Lorentz-polarization factor, no thermal factor.

Crystal structure
```
data_V2Fe3SbP6O24
_cell_length_a 8.6502
_cell_length_b 8.6502
_cell_length_c 21.2147
_cell_angle_alpha 90.00
_cell_angle_beta 90.00
_cell_angle_gamma 120.00
_symmetry_space_group_name_H-M 'R 3'
_symmetry_Int_Tables_number 146
_symmetry_space_group_name_Hall 'R 3'
loop_
_atom_site_label
_atom_site_fract_x
_atom_site_fract_y
_atom_site_fract_z
_atom_site_occupancy
V1 0.0000 0.0000 0.0000 1
V2 0.0000 0.0000 0.4963 1
Fe1 0.0000 0.0000 0.1450 1
Fe2 0.0000 0.0000 0.3544 1
Fe3 0.0000 0.0000 0.8556 1
Sb1 0.0000 0.0000 0.6439 1
P1 0.0023 0.7051 0.7512 1
P2 0.0431 0.3732 0.9172 1
O1 0.0040 0.1999 0.1901 1
O2 0.0037 0.8029 0.6880 1
O3 0.0062 0.2002 0.3106 1
O4 0.0079 0.8114 0.8086 1
O5 0.0135 0.1820 0.9225 1
O6 0.0223 0.8359 0.4217 1
O7 0.1681 0.6836 0.7436 1
O8 0.1724 0.4867 0.2446 1
```

Most intense lines, 2θ from 10° to 90°, sorted by position:
two_theta  I/Imax  index
20.5  100  1 1 0
24.1  75  1 1 3
29.2  15  0 2 4
31.9  15  2 1 1
32.7  62  2 -1 6
36.0  42  3 0 0
46.9  25  1 2 8
49.4  26  2 2 6
56.3  36  4 1 0
62.6  25  0 1 14
64.6  12  3 3 0
76.3  10  6 0 0



# V3FeSb2P6O24
Calculated powder diffraction line list, Cu Ka. Input: a crystal structure in Alexandria, relaxed with PBE+U.
Kinematic intensities with the Lorentz-polarization factor, no thermal factor.

Crystal structure
```
data_V3FeSb2P6O24
_cell_length_a 8.7055
_cell_length_b 8.7055
_cell_length_c 22.0275
_cell_angle_alpha 90.00
_cell_angle_beta 90.00
_cell_angle_gamma 120.00
_symmetry_space_group_name_H-M 'R 3'
_symmetry_Int_Tables_number 146
_symmetry_space_group_name_Hall 'R 3'
loop_
_atom_site_label
_atom_site_fract_x
_atom_site_fract_y
_atom_site_fract_z
_atom_site_occupancy
V1 0.0000 0.0000 0.0000 1
V2 0.0000 0.0000 0.2066 1
V3 0.0000 0.0000 0.5000 1
Fe1 0.0000 0.0000 0.7022 1
Sb1 0.0000 0.0000 0.3482 1
Sb2 0.0000 0.0000 0.8445 1
P1 0.9995 0.2905 0.6053 1
P2 0.0442 0.6686 0.7717 1
O1 0.0005 0.8040 0.0468 1
O2 0.0033 0.1988 0.5470 1
O3 0.0233 0.1838 0.2735 1
O4 0.0227 0.8406 0.7729 1
O5 0.1435 0.4635 0.3305 1
O6 0.1430 0.6801 0.8302 1
O7 0.1621 0.4806 0.6051 1
O8 0.1616 0.6815 0.1039 1
```

Most intense lines, 2θ from 10° to 90°, sorted by position:
two_theta  I/Imax  index
14.2  26  0 1 2
20.4  100  1 1 0
23.8  68  1 1 3
25.0  30  2 0 2
31.9  94  1 1 6
32.5  22  3 -2 2
35.7  39  3 0 0
43.6  16  0 3 6
45.8  29  1 2 8
48.6  34  2 2 6
55.9  25  1 4 0
61.8  25  4 1 6



# FeSnP2O8
Calculated powder diffraction line list, Cu Ka. Input: a crystal structure in Alexandria, relaxed with PBE+U.
Kinematic intensities with the Lorentz-polarization factor, no thermal factor.

Crystal structure
```
data_FeSnP2O8
_cell_length_a 5.0161
_cell_length_b 6.0532
_cell_length_c 10.0779
_cell_angle_alpha 90.00
_cell_angle_beta 90.99
_cell_angle_gamma 90.00
_symmetry_space_group_name_H-M 'P 1 21/m 1'
_symmetry_Int_Tables_number 11
_symmetry_space_group_name_Hall '-P 2yb'
loop_
_atom_site_label
_atom_site_fract_x
_atom_site_fract_y
_atom_site_fract_z
_atom_site_occupancy
Fe1 0.0597 0.2500 0.2247 1
Sn1 0.4424 0.2500 0.7216 1
P1 0.1221 0.7500 0.0953 1
P2 0.4010 0.7500 0.5922 1
O1 0.1502 0.7500 0.9467 1
O2 0.1774 0.2500 0.8705 1
O3 0.2576 0.5474 0.6607 1
O4 0.2757 0.5523 0.1665 1
O5 0.3004 0.2500 0.3875 1
O6 0.3232 0.7500 0.4423 1
```

Most intense lines, 2θ from 10° to 90°, sorted by position:
two_theta  I/Imax  index
17.1  31  0 1 1
17.6  100  0 0 2
19.6  19  1 0 -1
19.9  38  1 0 1
24.6  73  1 1 -1
24.8  84  1 1 1
29.3  25  1 1 2
29.5  73  0 2 0
35.2  54  1 1 -3
35.7  50  1 1 3
50.8  20  2 2 2
56.9  18  0 1 6



# SrFe3P3O12
Calculated powder diffraction line list, Cu Ka. Input: a crystal structure in Alexandria, relaxed with PBE+U.
Kinematic intensities with the Lorentz-polarization factor, no thermal factor.

Crystal structure
```
data_SrFe3P3O12
_cell_length_a 10.5839
_cell_length_b 13.6091
_cell_length_c 6.6227
_cell_angle_alpha 90.00
_cell_angle_beta 90.00
_cell_angle_gamma 90.00
_symmetry_space_group_name_H-M 'I m m a'
_symmetry_Int_Tables_number 74
_symmetry_space_group_name_Hall '-I 2b 2'
loop_
_atom_site_label
_atom_site_fract_x
_atom_site_fract_y
_atom_site_fract_z
_atom_site_occupancy
Sr1 0.0000 0.2500 0.1023 1
Fe1 0.0000 0.0000 0.5000 1
Fe2 0.2500 0.1324 0.7500 1
P1 0.0000 0.2500 0.5964 1
P2 0.2500 0.0736 0.2500 1
O1 0.0000 0.1575 0.4606 1
O2 0.1162 0.2500 0.7414 1
O3 0.1387 0.0007 0.7033 1
O4 0.2095 0.1363 0.0681 1
```

Most intense lines, 2θ from 10° to 90°, sorted by position:
two_theta  I/Imax  index
20.5  54  1 2 1
21.3  28  2 2 0
22.5  24  2 1 1
29.0  27  1 1 2
31.3  100  2 4 0
31.9  61  2 0 2
33.9  38  4 0 0
34.6  21  1 3 2
41.4  17  0 1 3
50.0  17  4 5 1
51.7  34  4 4 2
56.4  15  2 5 3



# SrFeP2O7
Calculated powder diffraction line list, Cu Ka. Input: a crystal structure in Alexandria, relaxed with PBE+U.
Kinematic intensities with the Lorentz-polarization factor, no thermal factor.

Crystal structure
```
data_SrFeP2O7
_cell_length_a 5.4258
_cell_length_b 8.3976
_cell_length_c 14.0315
_cell_angle_alpha 90.00
_cell_angle_beta 112.73
_cell_angle_gamma 90.00
_symmetry_space_group_name_H-M 'P 1 21/c 1'
_symmetry_Int_Tables_number 14
_symmetry_space_group_name_Hall '-P 2ybc'
loop_
_atom_site_label
_atom_site_fract_x
_atom_site_fract_y
_atom_site_fract_z
_atom_site_occupancy
Sr1 0.0632 0.1659 0.2770 1
Fe1 0.4225 0.1495 0.6048 1
P1 0.2115 0.7022 0.0208 1
P2 0.4156 0.5352 0.6680 1
O1 0.0579 0.1715 0.4703 1
O2 0.2073 0.6921 0.9110 1
O3 0.2821 0.0583 0.7887 1
O4 0.2822 0.6167 0.7343 1
O5 0.2947 0.6140 0.5539 1
O6 0.3286 0.1394 0.1528 1
O7 0.4357 0.5978 0.0976 1
```

Most intense lines, 2θ from 10° to 90°, sorted by position:
two_theta  I/Imax  index
12.6  24  0 1 1
26.4  100  1 0 -4
26.8  54  1 2 -1
27.7  32  1 2 0
28.5  55  1 1 2
29.7  24  0 2 3
30.3  34  1 2 1
32.7  32  0 3 1
33.0  41  2 0 -2
34.0  25  1 1 -5
43.3  28  0 1 6
45.0  40  2 2 -5



# SrZnFeP2O8
Calculated powder diffraction line list, Cu Ka. Input: a crystal structure in Alexandria, relaxed with PBE+U.
Kinematic intensities with the Lorentz-polarization factor, no thermal factor.

Crystal structure
```
data_SrZnFeP2O8
_cell_length_a 5.5346
_cell_length_b 6.9426
_cell_length_c 9.4857
_cell_angle_alpha 110.22
_cell_angle_beta 102.18
_cell_angle_gamma 98.18
_symmetry_space_group_name_H-M 'P -1'
_symmetry_Int_Tables_number 2
_symmetry_space_group_name_Hall '-P 1'
loop_
_atom_site_label
_atom_site_fract_x
_atom_site_fract_y
_atom_site_fract_z
_atom_site_occupancy
Sr1 0.2457 0.2979 0.0486 1
Zn1 0.0057 0.1194 0.3581 1
Fe1 0.3711 0.6584 0.4436 1
P1 0.1598 0.4772 0.6999 1
P2 0.3916 0.9192 0.2272 1
O1 0.0068 0.2468 0.5829 1
O2 0.0447 0.3854 0.3057 1
O3 0.1988 0.9424 0.0949 1
O4 0.2639 0.4969 0.8674 1
O5 0.3298 0.6971 0.2299 1
O6 0.3329 0.0288 0.7868 1
O7 0.3646 0.0836 0.3853 1
O8 0.3797 0.5501 0.6363 1
```

Most intense lines, 2θ from 10° to 90°, sorted by position:
two_theta  I/Imax  index
10.4  18  0 0 1
27.8  100  0 2 -2
29.0  28  -1 1 2
30.4  67  1 1 1
31.2  48  1 0 -3
32.7  40  2 0 -1
33.2  41  -1 2 1
33.7  25  2 -1 0
40.1  14  2 -2 1
46.4  25  1 3 -1
50.0  23  1 2 -5
50.1  15  0 1 4



# Ti2FeP3O12
Calculated powder diffraction line list, Cu Ka. Input: a crystal structure in Alexandria, relaxed with PBE+U.
Kinematic intensities with the Lorentz-polarization factor, no thermal factor.

Crystal structure
```
data_Ti2FeP3O12
_cell_length_a 8.6956
_cell_length_b 8.6956
_cell_length_c 20.7961
_cell_angle_alpha 90.00
_cell_angle_beta 90.00
_cell_angle_gamma 120.00
_symmetry_space_group_name_H-M 'R -3 c'
_symmetry_Int_Tables_number 167
_symmetry_space_group_name_Hall '-R 3 2"c'
loop_
_atom_site_label
_atom_site_fract_x
_atom_site_fract_y
_atom_site_fract_z
_atom_site_occupancy
Ti1 0.0000 0.0000 0.1438 1
Fe1 0.0000 0.0000 0.0000 1
P1 0.0000 0.2933 0.2500 1
O1 0.0065 0.1955 0.3106 1
O2 0.0194 0.1857 0.9238 1
```

Most intense lines, 2θ from 10° to 90°, sorted by position:
two_theta  I/Imax  index
20.4  65  1 1 0
24.2  100  1 1 3
25.2  18  2 0 2
31.7  16  2 1 1
33.1  62  1 1 6
35.8  30  3 0 0
47.4  27  1 2 8
49.5  23  2 2 6
56.0  20  4 1 0
56.5  13  3 1 8
62.6  16  4 1 6
75.8  9  6 0 0



Copy entry 3 word for word.
# V3FeSb2P6O24
Calculated powder diffraction line list, Cu Ka. Input: a crystal structure in Alexandria, relaxed with PBE+U.
Kinematic intensities with the Lorentz-polarization factor, no thermal factor.

Crystal structure
```
data_V3FeSb2P6O24
_cell_length_a 8.7055
_cell_length_b 8.7055
_cell_length_c 22.0275
_cell_angle_alpha 90.00
_cell_angle_beta 90.00
_cell_angle_gamma 120.00
_symmetry_space_group_name_H-M 'R 3'
_symmetry_Int_Tables_number 146
_symmetry_space_group_name_Hall 'R 3'
loop_
_atom_site_label
_atom_site_fract_x
_atom_site_fract_y
_atom_site_fract_z
_atom_site_occupancy
V1 0.0000 0.0000 0.0000 1
V2 0.0000 0.0000 0.2066 1
V3 0.0000 0.0000 0.5000 1
Fe1 0.0000 0.0000 0.7022 1
Sb1 0.0000 0.0000 0.3482 1
Sb2 0.0000 0.0000 0.8445 1
P1 0.9995 0.2905 0.6053 1
P2 0.0442 0.6686 0.7717 1
O1 0.0005 0.8040 0.0468 1
O2 0.0033 0.1988 0.5470 1
O3 0.0233 0.1838 0.2735 1
O4 0.0227 0.8406 0.7729 1
O5 0.1435 0.4635 0.3305 1
O6 0.1430 0.6801 0.8302 1
O7 0.1621 0.4806 0.6051 1
O8 0.1616 0.6815 0.1039 1
```

Most intense lines, 2θ from 10° to 90°, sorted by position:
two_theta  I/Imax  index
14.2  26  0 1 2
20.4  100  1 1 0
23.8  68  1 1 3
25.0  30  2 0 2
31.9  94  1 1 6
32.5  22  3 -2 2
35.7  39  3 0 0
43.6  16  0 3 6
45.8  29  1 2 8
48.6  34  2 2 6
55.9  25  1 4 0
61.8  25  4 1 6